1.
Calculated X-ray powder pattern of ReAsAuO for copper Kα, from a structure optimized by DFT (GGA-PBE).
Kinematic intensities with the Lorentz-polarization factor, no thermal factor.

Principal peaks in the range 2θ = 10–90°, low angle first:
Position (°2θ)  I (rel.)  (hkl)
18.10  41  0 1 1
24.16  100  0 0 2
29.80  41  0 2 1
33.14  82  1 1 0
35.37  33  1 1 1
41.01  44  1 2 0
41.25  40  0 3 0
41.43  54  1 1 2
48.16  33  1 2 2
48.38  29  0 3 2

Structure:
```
data_ReAsAuO
_symmetry_space_group_name_H-M 'P m c 21'
_symmetry_Int_Tables_number 26
_symmetry_space_group_name_Hall 'P 2c -2'
_cell_length_a 2.967
_cell_length_b 6.565
_cell_length_c 7.367
_cell_angle_alpha 90.00
_cell_angle_beta 90.00
_cell_angle_gamma 90.00
loop_
_atom_site_label
_atom_site_type_symbol
_atom_site_fract_x
_atom_site_fract_y
_atom_site_fract_z
Re1 Re 0.000 0.026 0.000
As1 As 0.500 0.316 0.916
Au1 Au 0.500 0.339 0.564
O1 O 0.000 0.053 0.255
```

2.
Calculated X-ray powder pattern of Sm10As8Au3O10 for copper Kα, from a structure optimized by DFT (GGA-PBE).
Kinematic intensities with the Lorentz-polarization factor, no thermal factor.

Principal peaks in the range 2θ = 10–90°, low angle first:
Position (°2θ)  I (rel.)  (hkl)
22.65  13  2 1 1
28.72  100  2 1 3
33.46  43  1 3 2
37.46  28  0 0 6
40.05  26  1 3 4
44.41  39  4 2 0
53.74  28  5 0 3
59.46  26  4 2 6
60.63  16  1 3 8
64.61  10  2 6 0

Structure:
```
data_Sm10As8Au3O10
_symmetry_space_group_name_H-M 'I 4/m'
_symmetry_Int_Tables_number 87
_symmetry_space_group_name_Hall '-I 4'
_cell_length_a 9.123
_cell_length_b 9.123
_cell_length_c 14.402
_cell_angle_alpha 90.00
_cell_angle_beta 90.00
_cell_angle_gamma 90.00
loop_
_atom_site_label
_atom_site_type_symbol
_atom_site_fract_x
_atom_site_fract_y
_atom_site_fract_z
Sm1 Sm 0.000 0.000 0.164
Sm2 Sm 0.100 0.295 0.325
As1 As 0.088 0.774 0.000
As2 As 0.130 0.751 0.500
Au1 Au 0.000 0.000 0.500
Au2 Au 0.000 0.500 0.000
O1 O 0.000 0.500 0.250
O2 O 0.101 0.802 0.246
```

3.
Calculated X-ray powder pattern of AsP6Au for copper Kα, from a structure optimized by DFT (GGA-PBE).
Kinematic intensities with the Lorentz-polarization factor, no thermal factor.

Principal peaks in the range 2θ = 10–90°, low angle first:
Position (°2θ)  I (rel.)  (hkl)
17.78  100  1 1 1
29.24  65  2 2 0
34.43  73  3 1 1
36.02  33  2 2 2
41.83  39  4 0 0
45.79  44  3 3 1
55.26  28  3 3 3
60.64  21  4 4 0
63.74  22  5 3 1
86.55  20  7 3 1

Structure:
```
data_AsP6Au
_symmetry_space_group_name_H-M 'F -4 3 m'
_symmetry_Int_Tables_number 216
_symmetry_space_group_name_Hall 'F -4 2 3'
_cell_length_a 8.638
_cell_length_b 8.638
_cell_length_c 8.638
_cell_angle_alpha 90.00
_cell_angle_beta 90.00
_cell_angle_gamma 90.00
loop_
_atom_site_label
_atom_site_type_symbol
_atom_site_fract_x
_atom_site_fract_y
_atom_site_fract_z
As1 As 0.000 0.000 0.000
P1 P 0.000 0.000 0.299
Au1 Au 0.250 0.250 0.750
```

Q: What is the formula in the second record?
A: Sm10As8Au3O10